Computed PXRD pattern of SmTmPb4 for a wavelength of 1.5418 Å, from a DFT-relaxed cell (GGA-PBE, OQMD).
Kinematic intensities with the Lorentz-polarization factor, no thermal factor.

Peak list (12 most intense, 2θ = 10–90°, sorted by position)
(hkl)	2θ (°)	intensity
1 0 0	26.88	100.0
0 0 6	27.71	88.0
0 2 0	28.19	88.9
1 0 6	38.99	72.4
1 2 0	39.34	74.4
0 2 6	39.94	67.8
1 2 6	48.80	77.0
2 0 6	63.05	18.3
2 2 0	63.30	18.8
2 2 6	70.45	26.3
1 2 12	71.67	21.4
1 4 6	72.37	24.4

Cell and atoms:
```
data_SmTmPb4
_chemical_formula_sum 'Sm2 Tm2 Pb8'
_space_group_name_H-M_alt 'A m m 2'
_space_group_IT_number 38
_space_group_name_Hall 'A 2 -2'
_cell_length_a 3.317
_cell_length_b 6.331
_cell_length_c 19.313
_cell_angle_alpha 90.00
_cell_angle_beta 90.00
_cell_angle_gamma 90.00
loop_
_atom_site_label
_atom_site_type_symbol
_atom_site_fract_x
_atom_site_fract_y
_atom_site_fract_z
Sm1 Sm 0.000 0.000 0.000
Tm1 Tm 0.000 0.000 0.183
Pb1 Pb 0.000 0.000 0.348
Pb2 Pb 0.000 0.000 0.511
Pb3 Pb 0.000 0.000 0.676
Pb4 Pb 0.000 0.000 0.835
```